[1]
Diffraction record for Gd14C. The powder X-ray diffraction pattern is theoretical, not measured: it uses the PBE geometry in OQMD and Cu Kα X-rays.
Intensities are scaled so that the largest is 100.

Structure:
```
Gd14C
1.0
4.865 2.809 6.005
-4.865 2.809 6.005
0.000 -5.617 6.005
Gd C
14 1
Direct
0.129 0.129 0.129
0.180 0.500 0.820
0.180 0.820 0.500
0.189 0.189 0.598
0.189 0.598 0.189
0.402 0.811 0.811
0.500 0.180 0.820
0.500 0.820 0.180
0.598 0.189 0.189
0.811 0.402 0.811
0.811 0.811 0.402
0.820 0.180 0.500
0.820 0.500 0.180
0.871 0.871 0.871
0.000 0.000 0.000
```

Principal peaks in the range 10 to 80 degrees two-theta, in order of falling intensity:
2θ = 35.28°, intensity 100; 2θ = 29.76°, intensity 53; 2θ = 28.46°, intensity 41; 2θ = 29.02°, intensity 30; 2θ = 31.86°, intensity 20; 2θ = 39.99°, intensity 19; 2θ = 35.12°, intensity 16; 2θ = 56.77°, intensity 15; 2θ = 56.45°, intensity 14; 2θ = 18.24°, intensity 14

=====

[2]
Diffraction record for Sr2BeReP6. The powder X-ray diffraction pattern is theoretical, not measured: it uses the PBE geometry in OQMD and Cu Kα X-rays.
Intensities are scaled so that the largest is 100.

Structure:
```
Sr2BeReP6
1.0
6.903 0.000 0.000
-3.451 5.978 0.000
0.000 0.000 10.697
Sr Be Re P
4 2 2 12
Direct
0.333 0.667 0.070
0.333 0.667 0.430
0.667 0.333 0.570
0.667 0.333 0.930
0.333 0.667 0.750
0.667 0.333 0.250
0.000 0.000 0.250
0.000 0.000 0.750
0.124 0.342 0.854
0.124 0.782 0.646
0.218 0.342 0.646
0.218 0.876 0.854
0.342 0.124 0.354
0.342 0.218 0.146
0.658 0.782 0.854
0.658 0.876 0.646
0.782 0.124 0.146
0.782 0.658 0.354
0.876 0.218 0.354
0.876 0.658 0.146
```

Principal peaks in the range 10 to 80 degrees two-theta, in order of falling intensity:
2θ = 22.30°, intensity 100; 2θ = 25.81°, intensity 53; 2θ = 43.48°, intensity 36; 2θ = 58.25°, intensity 35; 2θ = 45.52°, intensity 34; 2θ = 53.07°, intensity 29; 2θ = 14.82°, intensity 28; 2θ = 34.37°, intensity 27; 2θ = 31.07°, intensity 23; 2θ = 39.33°, intensity 17

=====

[3]
Diffraction record for Er6TmNi2Se2. The powder X-ray diffraction pattern is theoretical, not measured: it uses the PBE geometry in OQMD and Cu Kα X-rays.
Intensities are scaled so that the largest is 100.

Structure:
```
Er6TmNi2Se2
1.0
-1.880 7.482 4.625
1.880 -7.482 4.625
1.880 7.482 -4.625
Er Tm Ni Se
6 1 2 2
Direct
0.112 0.796 0.316
0.126 0.000 0.126
0.479 0.796 0.684
0.513 0.153 0.360
0.793 0.153 0.640
0.874 0.000 0.874
0.414 0.414 0.000
0.252 0.490 0.762
0.728 0.490 0.238
0.155 0.655 0.500
0.753 0.753 0.000
```

Principal peaks in the range 10 to 80 degrees two-theta, in order of falling intensity:
2θ = 35.20°, intensity 100; 2θ = 34.19°, intensity 66; 2θ = 31.23°, intensity 60; 2θ = 35.65°, intensity 48; 2θ = 31.42°, intensity 31; 2θ = 48.41°, intensity 28; 2θ = 29.75°, intensity 26; 2θ = 60.59°, intensity 26; 2θ = 53.12°, intensity 25; 2θ = 29.58°, intensity 23